This entry pairs a crystal structure of CsFe2Te3 with its computed powder XRD pattern. Radiation: λ = 1.5418 Å (Cu Kα). Structure: a structure optimized by DFT (GGA-PBE).
No peak broadening, texture or thermal motion is included.

Principal peaks in the range 10 to 90 degrees two-theta, in order of rising 2θ:
(hkl)  two_theta  I (rel.)
1 1 0  11.2  12
0 2 0  13.7  7
1 3 0  22.4  15
2 2 1  27.4  100
0 0 2  31.2  11
0 4 2  42.1  16
3 5 0  44.3  10
4 4 0  45.9  10
4 0 2  48.4  14
2 2 3  53.3  16

Crystal structure
abc: 9.9806 12.9633 5.7267
angles: 90.00 90.00 90.00
Space group Cmcm (No. 63)
Asymmetric unit:
Cs (0.0000, 0.1778, 0.2500) x4
Fe (0.1353, 0.5000, 0.0000) x8
Te (0.0000, 0.3832, 0.7500) x4
Te (0.2235, 0.1066, 0.7500) x8